Computed powder diffractogram of NpV2TcO8 for Cu Ka, from the PBE+U geometry in Alexandria.
No peak broadening, texture or thermal motion is included.

Largest 8 diffraction maxima, by intensity, 2θ = 10–90°:
2θ/deg  I/Imax
34.15  100.0
18.77  71.5
26.37  63.5
26.95  60.9
51.72  41.4
52.39  40.9
23.51  28.6
39.04  28.1

Structure:
Lattice parameters (Å, degrees): 4.7293 4.7293 6.3140 90.00 90.00 91.23
Atoms (fractional coordinates):
Np (0.0000, 0.0000, 0.0000)
V (0.5000, 0.5000, 0.2610)
V (0.5000, 0.5000, 0.7390)
Tc (0.0000, 0.0000, 0.5000)
O (0.2039, 0.7961, 0.2621)
O (0.2039, 0.7961, 0.7379)
O (0.2972, 0.2972, 0.5000)
O (0.3066, 0.3066, 0.0000)
O (0.6934, 0.6934, 0.0000)
O (0.7028, 0.7028, 0.5000)
O (0.7961, 0.2039, 0.2621)
O (0.7961, 0.2039, 0.7379)